Entry 1:
The following is a calculated X-ray diffraction stick pattern of HfZn2Re2. It was derived from DFT lattice parameters and positions (PBE), using λ = 1.5418 Å (Cu Kα).

Principal peaks in the range 2θ = 15–90°, most intense first:
- 2θ 42.43, I 100
- 2θ 37.82, I 100
- 2θ 68.13, I 50
- 2θ 50.62, I 49
- 2θ 32.09, I 46
- 2θ 35.19, I 46
- 2θ 54.94, I 23
- 2θ 82.22, I 22
- 2θ 25.61, I 22
- 2θ 86.63, I 19
- 2θ 77.94, I 17
- 2θ 44.92, I 15

```
data_HfZn2Re2
_chemical_formula_sum 'Hf2 Zn4 Re4'
_space_group_name_H-M_alt 'P 1'
_space_group_IT_number 1
_cell_length_a 3.606
_cell_length_b 3.606
_cell_length_c 13.203
_cell_angle_alpha 90.00
_cell_angle_beta 90.00
_cell_angle_gamma 90.00
loop_
_space_group_symop_operation_xyz
'x,y,z'
loop_
_atom_site_label
_atom_site_fract_x
_atom_site_fract_y
_atom_site_fract_z
Hf1 0.000 0.000 0.000
Hf2 0.500 0.500 0.500
Zn1 0.000 0.500 0.250
Zn2 0.000 0.500 0.750
Zn3 0.500 0.000 0.250
Zn4 0.500 0.000 0.750
Re1 0.000 0.000 0.406
Re2 0.000 0.000 0.594
Re3 0.500 0.500 0.094
Re4 0.500 0.500 0.906
```

Entry 2:
The following is a calculated X-ray diffraction stick pattern of HfZr3Re. It was derived from DFT lattice parameters and positions (PBE), using λ = 1.5418 Å (Cu Kα).

Principal peaks in the range 2θ = 15–90°, most intense first:
- 2θ 17.51, I 100
- 2θ 36.00, I 72
- 2θ 40.86, I 63
- 2θ 38.87, I 57
- 2θ 34.23, I 53
- 2θ 52.75, I 50
- 2θ 21.63, I 27
- 2θ 65.24, I 27
- 2θ 17.86, I 27
- 2θ 36.18, I 21
- 2θ 35.44, I 19
- 2θ 50.52, I 17

```
data_HfZr3Re
_chemical_formula_sum 'Hf2 Zr6 Re2'
_space_group_name_H-M_alt 'P 1'
_space_group_IT_number 1
_cell_length_a 10.599
_cell_length_b 10.599
_cell_length_c 10.599
_cell_angle_alpha 151.38
_cell_angle_beta 151.38
_cell_angle_gamma 40.92
loop_
_space_group_symop_operation_xyz
'x,y,z'
loop_
_atom_site_label
_atom_site_fract_x
_atom_site_fract_y
_atom_site_fract_z
Hf1 0.224 0.224 0.000
Hf2 0.776 0.776 0.000
Zr1 0.374 0.124 0.750
Zr2 0.374 0.624 0.250
Zr3 0.376 0.626 0.750
Zr4 0.527 0.027 0.500
Zr5 0.876 0.626 0.250
Zr6 0.973 0.473 0.500
Re1 0.250 0.750 0.500
Re2 0.500 0.500 0.000
```

Entry 3:
The following is a calculated X-ray diffraction stick pattern of Hf5Rh2. It was derived from DFT lattice parameters and positions (PBE), using λ = 1.5418 Å (Cu Kα).

Principal peaks in the range 2θ = 15–90°, most intense first:
- 2θ 33.56, I 100
- 2θ 37.06, I 82
- 2θ 37.29, I 67
- 2θ 34.38, I 67
- 2θ 41.06, I 58
- 2θ 39.97, I 56
- 2θ 32.87, I 55
- 2θ 33.72, I 43
- 2θ 39.55, I 43
- 2θ 61.27, I 38
- 2θ 31.65, I 36
- 2θ 36.70, I 23

```
data_Hf5Rh2
_chemical_formula_sum 'Hf10 Rh4'
_space_group_name_H-M_alt 'P 1'
_space_group_IT_number 1
_cell_length_a 8.030
_cell_length_b 8.030
_cell_length_c 6.071
_cell_angle_alpha 93.90
_cell_angle_beta 93.90
_cell_angle_gamma 46.92
loop_
_space_group_symop_operation_xyz
'x,y,z'
loop_
_atom_site_label
_atom_site_fract_x
_atom_site_fract_y
_atom_site_fract_z
Hf1 0.025 0.975 0.750
Hf2 0.164 0.291 0.257
Hf3 0.278 0.540 0.024
Hf4 0.291 0.164 0.757
Hf5 0.460 0.722 0.476
Hf6 0.540 0.278 0.524
Hf7 0.709 0.836 0.243
Hf8 0.722 0.460 0.976
Hf9 0.836 0.709 0.743
Hf10 0.975 0.025 0.250
Rh1 0.119 0.653 0.466
Rh2 0.347 0.881 0.034
Rh3 0.653 0.119 0.966
Rh4 0.881 0.347 0.534
```

Entry 4:
The following is a calculated X-ray diffraction stick pattern of Hf3Rh5. It was derived from DFT lattice parameters and positions (PBE), using λ = 1.5418 Å (Cu Kα).

Principal peaks in the range 2θ = 15–90°, most intense first:
- 2θ 39.13, I 100
- 2θ 39.24, I 64
- 2θ 42.15, I 47
- 2θ 38.33, I 42
- 2θ 46.41, I 22
- 2θ 75.01, I 21
- 2θ 40.59, I 20
- 2θ 64.47, I 16
- 2θ 53.15, I 13
- 2θ 59.95, I 13
- 2θ 70.05, I 12
- 2θ 75.09, I 9

```
data_Hf3Rh5
_chemical_formula_sum 'Hf6 Rh10'
_space_group_name_H-M_alt 'P 1'
_space_group_IT_number 1
_cell_length_a 5.614
_cell_length_b 10.916
_cell_length_c 4.288
_cell_angle_alpha 90.00
_cell_angle_beta 90.00
_cell_angle_gamma 90.00
loop_
_space_group_symop_operation_xyz
'x,y,z'
loop_
_atom_site_label
_atom_site_fract_x
_atom_site_fract_y
_atom_site_fract_z
Hf1 0.000 0.000 0.000
Hf2 0.157 0.354 0.500
Hf3 0.343 0.854 0.500
Hf4 0.500 0.500 0.000
Hf5 0.657 0.146 0.500
Hf6 0.843 0.646 0.500
Rh1 0.000 0.500 0.000
Rh2 0.101 0.758 0.000
Rh3 0.183 0.107 0.500
Rh4 0.317 0.607 0.500
Rh5 0.399 0.258 0.000
Rh6 0.500 0.000 0.000
Rh7 0.601 0.742 0.000
Rh8 0.683 0.393 0.500
Rh9 0.817 0.893 0.500
Rh10 0.899 0.242 0.000
```

Entry 5:
The following is a calculated X-ray diffraction stick pattern of Hf3Rh8. It was derived from DFT lattice parameters and positions (PBE), using λ = 1.5418 Å (Cu Kα).

Principal peaks in the range 2θ = 15–90°, most intense first:
- 2θ 41.86, I 100
- 2θ 39.66, I 83
- 2θ 32.62, I 82
- 2θ 42.68, I 65
- 2θ 43.28, I 47
- 2θ 40.06, I 47
- 2θ 31.58, I 43
- 2θ 39.41, I 39
- 2θ 39.29, I 38
- 2θ 37.46, I 34
- 2θ 25.98, I 30
- 2θ 54.78, I 26

```
data_Hf3Rh8
_chemical_formula_sum 'Hf3 Rh8'
_space_group_name_H-M_alt 'P 1'
_space_group_IT_number 1
_cell_length_a 4.802
_cell_length_b 5.505
_cell_length_c 7.450
_cell_angle_alpha 85.74
_cell_angle_beta 72.21
_cell_angle_gamma 89.32
loop_
_space_group_symop_operation_xyz
'x,y,z'
loop_
_atom_site_label
_atom_site_fract_x
_atom_site_fract_y
_atom_site_fract_z
Hf1 0.000 0.000 0.000
Hf2 0.000 0.500 0.500
Hf3 0.500 0.000 0.500
Rh1 0.069 0.109 0.328
Rh2 0.202 0.489 0.080
Rh3 0.391 0.577 0.701
Rh4 0.478 0.845 0.156
Rh5 0.522 0.155 0.844
Rh6 0.609 0.423 0.299
Rh7 0.798 0.511 0.920
Rh8 0.931 0.891 0.672
```

Entry 6:
The following is a calculated X-ray diffraction stick pattern of Hf4Ru3Rh. It was derived from DFT lattice parameters and positions (PBE), using λ = 1.5418 Å (Cu Kα).

Principal peaks in the range 2θ = 15–90°, most intense first:
- 2θ 39.21, I 100
- 2θ 71.05, I 29
- 2θ 56.61, I 11
- 2θ 27.45, I 8
- 2θ 84.34, I 7
- 2θ 71.13, I 6
- 2θ 56.74, I 6
- 2θ 84.23, I 4
- 2θ 48.53, I 3
- 2θ 64.05, I 2
- 2θ 64.15, I 1

```
data_Hf4Ru3Rh
_chemical_formula_sum 'Hf4 Ru3 Rh1'
_space_group_name_H-M_alt 'P 1'
_space_group_IT_number 1
_cell_length_a 3.245
_cell_length_b 4.600
_cell_length_c 9.193
_cell_angle_alpha 90.00
_cell_angle_beta 90.00
_cell_angle_gamma 90.00
loop_
_space_group_symop_operation_xyz
'x,y,z'
loop_
_atom_site_label
_atom_site_fract_x
_atom_site_fract_y
_atom_site_fract_z
Hf1 0.000 0.000 0.000
Hf2 0.000 0.000 0.500
Hf3 0.000 0.500 0.248
Hf4 0.000 0.500 0.752
Ru1 0.500 0.000 0.251
Ru2 0.500 0.000 0.749
Ru3 0.500 0.500 0.000
Rh1 0.500 0.500 0.500
```

Entry 7:
The following is a calculated X-ray diffraction stick pattern of Hf3Sb2Rh. It was derived from DFT lattice parameters and positions (PBE), using λ = 1.5418 Å (Cu Kα).

Principal peaks in the range 2θ = 15–90°, most intense first:
- 2θ 33.27, I 100
- 2θ 38.75, I 38
- 2θ 44.09, I 35
- 2θ 37.79, I 34
- 2θ 34.99, I 27
- 2θ 32.77, I 27
- 2θ 43.23, I 23
- 2θ 39.89, I 21
- 2θ 31.44, I 16
- 2θ 57.49, I 13
- 2θ 60.95, I 12
- 2θ 74.18, I 11

```
data_Hf3Sb2Rh
_chemical_formula_sum 'Hf12 Sb8 Rh4'
_space_group_name_H-M_alt 'P 1'
_space_group_IT_number 1
_cell_length_a 11.686
_cell_length_b 4.108
_cell_length_c 10.702
_cell_angle_alpha 90.00
_cell_angle_beta 90.00
_cell_angle_gamma 90.00
loop_
_space_group_symop_operation_xyz
'x,y,z'
loop_
_atom_site_label
_atom_site_fract_x
_atom_site_fract_y
_atom_site_fract_z
Hf1 0.070 0.250 0.094
Hf2 0.122 0.750 0.538
Hf3 0.232 0.750 0.245
Hf4 0.268 0.250 0.745
Hf5 0.378 0.250 0.038
Hf6 0.430 0.750 0.594
Hf7 0.570 0.250 0.406
Hf8 0.622 0.750 0.962
Hf9 0.732 0.750 0.255
Hf10 0.768 0.250 0.755
Hf11 0.878 0.250 0.462
Hf12 0.930 0.750 0.906
Sb1 0.024 0.250 0.722
Sb2 0.192 0.750 0.960
Sb3 0.308 0.250 0.460
Sb4 0.476 0.750 0.222
Sb5 0.524 0.250 0.778
Sb6 0.692 0.750 0.540
Sb7 0.808 0.250 0.040
Sb8 0.976 0.750 0.278
Rh1 0.099 0.250 0.362
Rh2 0.401 0.750 0.862
Rh3 0.599 0.250 0.138
Rh4 0.901 0.750 0.638
```

Entry 8:
The following is a calculated X-ray diffraction stick pattern of HfSc3Rh4. It was derived from DFT lattice parameters and positions (PBE), using λ = 1.5418 Å (Cu Kα).

Principal peaks in the range 2θ = 15–90°, most intense first:
- 2θ 39.30, I 100
- 2θ 71.25, I 33
- 2θ 56.80, I 17
- 2θ 84.54, I 10
- 2θ 23.77, I 8
- 2θ 22.73, I 7
- 2θ 46.45, I 4
- 2θ 41.17, I 3
- 2θ 27.51, I 3
- 2θ 30.04, I 3
- 2θ 54.35, I 3
- 2θ 36.01, I 2

```
data_HfSc3Rh4
_chemical_formula_sum 'Hf1 Sc3 Rh4'
_space_group_name_H-M_alt 'P 1'
_space_group_IT_number 1
_cell_length_a 7.935
_cell_length_b 7.935
_cell_length_c 7.935
_cell_angle_alpha 33.60
_cell_angle_beta 33.60
_cell_angle_gamma 33.60
loop_
_space_group_symop_operation_xyz
'x,y,z'
loop_
_atom_site_label
_atom_site_fract_x
_atom_site_fract_y
_atom_site_fract_z
Hf1 0.000 0.000 0.000
Sc1 0.249 0.249 0.249
Sc2 0.500 0.500 0.500
Sc3 0.751 0.751 0.751
Rh1 0.123 0.123 0.123
Rh2 0.373 0.373 0.373
Rh3 0.627 0.627 0.627
Rh4 0.877 0.877 0.877
```